No. 1
SmEr4Tl: calculated PXRD pattern (Cu Ka), based on a GGA-PBE-relaxed structure.
Intensities are scaled so that the largest is 100.

The 10 most intense peaks (2θ from 10° to 90°), in order of falling intensity:
two_theta, I (rel.), (hkl)
31.42, 100.0, 1 0 3
35.52, 38.0, 1 1 0
61.23, 30.2, 2 1 3
53.15, 19.7, 1 1 6
51.11, 13.6, 2 0 0
38.21, 12.6, 0 0 6
65.57, 10.5, 2 0 6
64.85, 8.2, 1 0 9
86.97, 7.6, 2 1 9
83.73, 6.3, 3 0 3

```
SmEr4Tl
1.0
3.574 0.000 0.000
0.000 3.574 0.000
0.000 0.000 14.134
Sm Er Tl
1 4 1
direct
0.000 0.000 0.000 Sm
0.000 0.000 0.351 Er
0.000 0.000 0.649 Er
0.500 0.500 0.178 Er
0.500 0.500 0.822 Er
0.500 0.500 0.500 Tl
```

No. 2
LaInO3: calculated PXRD pattern (Cu Ka), based on a GGA-PBE-relaxed structure.
Intensities are scaled so that the largest is 100.

The 10 most intense peaks (2θ from 10° to 90°), in order of falling intensity:
two_theta, I (rel.), (hkl)
27.64, 100.0, 1 1 -1
27.28, 46.1, 0 0 2
31.55, 44.4, 1 1 1
29.86, 40.6, 2 0 0
49.15, 23.0, 3 1 -1
45.79, 22.3, 1 1 -3
43.94, 21.0, 0 2 0
34.56, 17.1, 2 0 -2
54.03, 15.1, 2 2 0
52.49, 14.8, 0 2 2

```
LaInO3
1.0
6.229 0.000 0.000
0.000 4.122 0.000
-1.891 0.000 6.538
La In O
2 2 6
direct
0.020 0.250 0.246 La
0.980 0.750 0.754 La
0.493 0.250 0.695 In
0.507 0.750 0.305 In
0.149 0.250 0.657 O
0.183 0.750 0.099 O
0.440 0.250 0.357 O
0.560 0.750 0.643 O
0.817 0.250 0.901 O
0.851 0.750 0.343 O
```

No. 3
Ca2Sm5Tm: calculated PXRD pattern (Cu Ka), based on a GGA-PBE-relaxed structure.
Intensities are scaled so that the largest is 100.

The 10 most intense peaks (2θ from 10° to 90°), in order of falling intensity:
two_theta, I (rel.), (hkl)
29.84, 100.0, 1 1 4
34.81, 34.1, 2 0 0
59.37, 28.2, 3 1 4
49.56, 22.4, 2 0 8
34.15, 16.1, 0 0 8
50.05, 12.2, 2 2 0
58.49, 11.8, 1 1 12
61.99, 11.4, 2 2 8
35.56, 11.3, 1 1 6
80.52, 9.3, 3 1 12

```
Ca2Sm5Tm
1.0
5.154 0.000 0.000
0.000 5.154 0.000
0.000 0.000 21.006
Ca Sm Tm
4 10 2
direct
0.000 0.000 0.250 Ca
0.000 0.000 0.750 Ca
0.500 0.500 0.250 Ca
0.500 0.500 0.750 Ca
0.000 0.000 0.000 Sm
0.000 0.500 0.117 Sm
0.000 0.500 0.383 Sm
0.000 0.500 0.617 Sm
0.000 0.500 0.883 Sm
0.500 0.000 0.117 Sm
0.500 0.000 0.383 Sm
0.500 0.000 0.617 Sm
0.500 0.000 0.883 Sm
0.500 0.500 0.500 Sm
0.000 0.000 0.500 Tm
0.500 0.500 0.000 Tm
```